For BaLaI5, DFT lattice parameters and positions (GGA-PBE) gives the theoretical powder XRD pattern in this record (Cu Kα).
Lines closer than 0.1° are merged.

The 10 most intense peaks (10 to 90 degrees two-theta), sorted by position:
| 2θ (°) | I (rel.) | hkl |
| --- | --- | --- |
| 15.20 | 479 | 0 2 0 |
| 23.71 | 620 | 1 2 -4 |
| 24.89 | 322 | 3 0 -6 |
| 26.06 | 290 | 3 1 -6 |
| 26.52 | 639 | 4 0 -2 |
| 27.62 | 442 | 4 1 -2 |
| 29.18 | 1000 | 1 0 4 |
| 29.30 | 846 | 1 3 -4 |
| 29.80 | 350 | 3 3 -4 |
| 34.39 | 552 | 5 2 -6 |

Atomic structure:
abc: 14.852 11.659 21.488
angles: 90.00 133.36 90.00
Element x y z (fractional)
Ba 0.151 0.211 0.358
Ba 0.151 0.289 0.858
Ba 0.308 0.731 0.533
Ba 0.308 0.769 0.033
Ba 0.692 0.231 0.967
Ba 0.692 0.269 0.467
Ba 0.849 0.711 0.142
Ba 0.849 0.789 0.642
La 0.276 0.235 0.657
La 0.276 0.265 0.157
La 0.298 0.700 0.306
La 0.298 0.800 0.806
La 0.702 0.200 0.194
La 0.702 0.300 0.694
La 0.724 0.735 0.843
La 0.724 0.765 0.343
I 0.046 0.231 0.640
I 0.046 0.269 0.140
I 0.061 0.742 0.119
I 0.061 0.758 0.619
I 0.138 0.553 0.328
I 0.138 0.947 0.828
I 0.220 0.595 0.859
I 0.220 0.905 0.359
I 0.237 0.040 0.536
I 0.237 0.460 0.036
I 0.239 0.065 0.045
I 0.239 0.435 0.545
I 0.390 0.037 0.797
I 0.390 0.463 0.297
I 0.409 0.117 0.319
I 0.409 0.383 0.819
I 0.430 0.702 0.747
I 0.430 0.798 0.247
I 0.465 0.192 0.997
I 0.465 0.308 0.497
I 0.535 0.692 0.503
I 0.535 0.808 0.003
I 0.570 0.202 0.753
I 0.570 0.298 0.253
I 0.591 0.617 0.181
I 0.591 0.883 0.681
I 0.610 0.537 0.703
I 0.610 0.963 0.203
I 0.761 0.565 0.455
I 0.761 0.935 0.955
I 0.763 0.540 0.964
I 0.763 0.960 0.464
I 0.780 0.095 0.641
I 0.780 0.405 0.141
I 0.862 0.053 0.172
I 0.862 0.447 0.672
I 0.939 0.242 0.381
I 0.939 0.258 0.881
I 0.954 0.731 0.860
I 0.954 0.769 0.360